No. 1
# CeCo3H10
Computed X-ray powder pattern, a wavelength of 1.5418 Å. Input: a cell relaxed with PBE.

Main lines, in order of rising 2θ (5° ≤ 2θ ≤ 70°):
17.3°, d = 5.130 Å, I 3, (1 1 1)
20.0°, d = 4.443 Å, I 15, (2 0 0)
28.4°, d = 3.142 Å, I 16, (2 2 0)
35.0°, d = 2.565 Å, I 100, (2 2 2)
40.6°, d = 2.221 Å, I 48, (4 0 0)
45.7°, d = 1.987 Å, I 10, (4 2 0)
50.3°, d = 1.814 Å, I 6, (4 2 2)
58.8°, d = 1.571 Å, I 30, (4 4 0)
62.7°, d = 1.481 Å, I 5, (4 4 2)
66.6°, d = 1.405 Å, I 4, (6 2 0)

Crystal structure
```
data_CeCo3H10
_chemical_formula_sum 'Ce8 Co24 H80'
_symmetry_space_group_name_H-M 'F m -3 m'
_symmetry_Int_Tables_number 225
_symmetry_space_group_name_Hall '-F 4 2 3'
_cell_length_a 8.886
_cell_length_b 8.886
_cell_length_c 8.886
_cell_angle_alpha 90.00
_cell_angle_beta 90.00
_cell_angle_gamma 90.00
loop_
_atom_site_label
_atom_site_type_symbol
_atom_site_fract_x
_atom_site_fract_y
_atom_site_fract_z
Ce1 Ce 0.250 0.250 0.250
Co1 Co 0.000 0.000 0.230
H1 H 0.000 0.160 0.340
H2 H 0.103 0.103 0.103
```


No. 2
# SmYCu2
Computed X-ray powder pattern, a wavelength of 1.5418 Å. Input: a cell relaxed with PBE.

Main lines, in order of rising 2θ (5° ≤ 2θ ≤ 70°):
17.8°, d = 4.983 Å, I 7, (1 0 0)
25.3°, d = 3.523 Å, I 9, (1 1 0)
25.5°, d = 3.494 Å, I 4, (0 0 1)
36.0°, d = 2.491 Å, I 51, (2 0 0)
36.2°, d = 2.481 Å, I 100, (1 1 1)
44.7°, d = 2.029 Å, I 4, (2 0 1)
51.9°, d = 1.762 Å, I 17, (2 2 0)
52.4°, d = 1.747 Å, I 8, (0 0 2)
64.9°, d = 1.436 Å, I 34, (3 1 1)
65.2°, d = 1.430 Å, I 17, (2 0 2)

Crystal structure
```
data_SmYCu2
_chemical_formula_sum 'Sm1 Y1 Cu2'
_symmetry_space_group_name_H-M 'P 4/m m m'
_symmetry_Int_Tables_number 123
_symmetry_space_group_name_Hall '-P 4 2'
_cell_length_a 4.983
_cell_length_b 4.983
_cell_length_c 3.494
_cell_angle_alpha 90.00
_cell_angle_beta 90.00
_cell_angle_gamma 90.00
loop_
_atom_site_label
_atom_site_type_symbol
_atom_site_fract_x
_atom_site_fract_y
_atom_site_fract_z
Sm1 Sm 0.000 0.000 0.000
Y1 Y 0.500 0.500 0.000
Cu1 Cu 0.000 0.500 0.500
```


No. 3
# Dy2Zn16Si
Computed X-ray powder pattern, a wavelength of 1.5418 Å. Input: a cell relaxed with PBE.

Main lines, in order of rising 2θ (5° ≤ 2θ ≤ 70°):
28.6°, d = 3.123 Å, I 28, (1 1 3)
34.3°, d = 2.611 Å, I 34, (3 0 0)
36.0°, d = 2.496 Å, I 13, (0 2 4)
39.9°, d = 2.261 Å, I 47, (2 2 0)
40.4°, d = 2.234 Å, I 100, (0 3 3)
41.8°, d = 2.159 Å, I 42, (0 0 6)
45.3°, d = 2.003 Å, I 24, (2 2 3)
58.0°, d = 1.589 Å, I 10, (4 1 3)
59.2°, d = 1.561 Å, I 16, (2 2 6)
65.6°, d = 1.423 Å, I 19, (3 3 3)

Crystal structure
```
data_Dy2Zn16Si
_chemical_formula_sum 'Dy6 Zn48 Si3'
_symmetry_space_group_name_H-M 'R 3 m'
_symmetry_Int_Tables_number 160
_symmetry_space_group_name_Hall 'R 3 -2"'
_cell_length_a 9.0438
_cell_length_b 9.0438
_cell_length_c 12.9538
_cell_angle_alpha 90.00
_cell_angle_beta 90.00
_cell_angle_gamma 120.00
loop_
_atom_site_label
_atom_site_type_symbol
_atom_site_fract_x
_atom_site_fract_y
_atom_site_fract_z
Dy1 Dy 0.0000 0.0000 0.0000
Dy2 Dy 0.0000 0.0000 0.3351
Zn1 Zn 0.0000 0.0000 0.7581
Zn2 Zn 0.0003 0.3072 0.6666
Zn3 Zn 0.0107 0.5054 0.8218
Zn4 Zn 0.1705 0.3410 0.5003
Zn5 Zn 0.1718 0.3436 0.8440
Si1 Si 0.0000 0.0000 0.5634
```


No. 4
# Na10Tl6Hg
Computed X-ray powder pattern, a wavelength of 1.5418 Å. Input: a cell relaxed with PBE.

Main lines, in order of rising 2θ (5° ≤ 2θ ≤ 70°):
13.7°, d = 6.459 Å, I 36, (0 0 1)
21.6°, d = 4.116 Å, I 22, (2 0 0)
23.2°, d = 3.828 Å, I 100, (2 -1 1)
31.9°, d = 2.803 Å, I 34, (3 -1 1)
32.6°, d = 2.744 Å, I 66, (3 0 0)
33.5°, d = 2.671 Å, I 76, (1 1 2)
35.5°, d = 2.525 Å, I 18, (3 0 1)
40.4°, d = 2.230 Å, I 19, (4 -2 1)
42.0°, d = 2.153 Å, I 22, (0 0 3)
47.5°, d = 1.914 Å, I 20, (4 -2 2)

Crystal structure
```
data_Na10Tl6Hg
_chemical_formula_sum 'Na10 Tl6 Hg1'
_symmetry_space_group_name_H-M 'P -3 1 m'
_symmetry_Int_Tables_number 162
_symmetry_space_group_name_Hall '-P 3 2'
_cell_length_a 9.5047
_cell_length_b 9.5047
_cell_length_c 6.4594
_cell_angle_alpha 90.00
_cell_angle_beta 90.00
_cell_angle_gamma 120.00
loop_
_atom_site_label
_atom_site_type_symbol
_atom_site_fract_x
_atom_site_fract_y
_atom_site_fract_z
Na1 Na 0.0000 0.2725 0.3071
Na2 Na 0.3333 0.6667 0.0000
Na3 Na 0.3333 0.6667 0.5000
Tl1 Tl 0.0000 0.3728 0.8166
Hg1 Hg 0.0000 0.0000 0.0000
```


No. 5
# Sr2SiSn2
Computed X-ray powder pattern, a wavelength of 1.5418 Å. Input: a cell relaxed with PBE.

Main lines, in order of rising 2θ (5° ≤ 2θ ≤ 70°):
16.2°, d = 5.469 Å, I 16, (1 1 0)
31.3°, d = 2.856 Å, I 100, (2 1 1)
35.4°, d = 2.532 Å, I 19, (0 0 2)
36.7°, d = 2.446 Å, I 20, (3 1 0)
47.0°, d = 1.934 Å, I 6, (4 0 0)
50.0°, d = 1.823 Å, I 7, (3 3 0)
52.0°, d = 1.759 Å, I 24, (3 1 2)
61.1°, d = 1.517 Å, I 15, (2 1 3)
62.8°, d = 1.480 Å, I 7, (3 3 2)
67.8°, d = 1.382 Å, I 13, (5 2 1)

Crystal structure
```
data_Sr2SiSn2
_chemical_formula_sum 'Sr4 Si2 Sn4'
_symmetry_space_group_name_H-M 'P 4/m b m'
_symmetry_Int_Tables_number 127
_symmetry_space_group_name_Hall '-P 4 2ab'
_cell_length_a 7.734
_cell_length_b 7.734
_cell_length_c 5.065
_cell_angle_alpha 90.00
_cell_angle_beta 90.00
_cell_angle_gamma 90.00
loop_
_atom_site_label
_atom_site_type_symbol
_atom_site_fract_x
_atom_site_fract_y
_atom_site_fract_z
Sr1 Sr 0.172 0.328 0.000
Si1 Si 0.000 0.000 0.500
Sn1 Sn 0.137 0.637 0.500
```


No. 6
# NaNp2O6
Computed X-ray powder pattern, a wavelength of 1.5418 Å. Input: a cell relaxed with PBE.

Main lines, in order of rising 2θ (5° ≤ 2θ ≤ 70°):
10.7°, d = 8.275 Å, I 39, (0 0 2)
21.5°, d = 4.137 Å, I 16, (0 0 4)
24.6°, d = 3.616 Å, I 30, (1 0 1)
29.0°, d = 3.076 Å, I 100, (1 0 3)
32.5°, d = 2.758 Å, I 12, (0 0 6)
34.2°, d = 2.620 Å, I 21, (1 1 0)
47.9°, d = 1.900 Å, I 35, (1 1 6)
49.2°, d = 1.853 Å, I 17, (2 0 0)
55.8°, d = 1.648 Å, I 23, (1 0 9)
58.1°, d = 1.587 Å, I 30, (2 1 3)

Crystal structure
```
data_NaNp2O6
_chemical_formula_sum 'Na2 Np4 O12'
_symmetry_space_group_name_H-M 'I 4/m m m'
_symmetry_Int_Tables_number 139
_symmetry_space_group_name_Hall '-I 4 2'
_cell_length_a 3.705
_cell_length_b 3.705
_cell_length_c 16.549
_cell_angle_alpha 90.00
_cell_angle_beta 90.00
_cell_angle_gamma 90.00
loop_
_atom_site_label
_atom_site_type_symbol
_atom_site_fract_x
_atom_site_fract_y
_atom_site_fract_z
Na1 Na 0.000 0.000 0.000
Np1 Np 0.000 0.000 0.338
O1 O 0.000 0.500 0.098
O2 O 0.000 0.500 0.250
```


No. 7
# Tm8Al2Cd
Computed X-ray powder pattern, a wavelength of 1.5418 Å. Input: a cell relaxed with PBE.

Main lines, in order of rising 2θ (5° ≤ 2θ ≤ 70°):
24.3°, d = 3.656 Å, I 17, (1 1 2)
25.9°, d = 3.434 Å, I 16, (1 0 3)
32.7°, d = 2.737 Å, I 28, (1 1 4)
32.9°, d = 2.721 Å, I 23, (0 3 1)
33.9°, d = 2.648 Å, I 100, (1 2 3)
36.3°, d = 2.476 Å, I 28, (2 0 0)
37.8°, d = 2.383 Å, I 20, (0 0 6)
49.8°, d = 1.831 Å, I 15, (2 3 1)
53.4°, d = 1.717 Å, I 15, (2 0 6)
63.7°, d = 1.460 Å, I 16, (3 2 3)

Crystal structure
```
data_Tm8Al2Cd
_chemical_formula_sum 'Tm16 Al4 Cd2'
_symmetry_space_group_name_H-M 'I m m m'
_symmetry_Int_Tables_number 71
_symmetry_space_group_name_Hall '-I 2 2'
_cell_length_a 4.952
_cell_length_b 8.315
_cell_length_c 14.298
_cell_angle_alpha 90.00
_cell_angle_beta 90.00
_cell_angle_gamma 90.00
loop_
_atom_site_label
_atom_site_type_symbol
_atom_site_fract_x
_atom_site_fract_y
_atom_site_fract_z
Tm1 Tm 0.000 0.000 0.145
Tm2 Tm 0.000 0.212 0.341
Tm3 Tm 0.000 0.313 0.000
Al1 Al 0.000 0.500 0.196
Cd1 Cd 0.000 0.500 0.500
```